(1)
# ErScRe4
Theoretical X-ray diffraction stick pattern, Cu Kα, 1.54184 Å. Input: a PBE-relaxed structure.
No peak broadening, texture or thermal motion is included.

The 8 most intense peaks (15 to 90 degrees two-theta), sorted by position:
Position (°2θ)  intensity
20.36  35
33.56  13
39.57  100
41.41  60
48.19  15
64.06  33
70.53  30
85.22  23

a b c (Å): 5.3410 5.3410 5.3410
angles (deg): 60.00 60.00 60.00
Fractional coordinates of all 6 atoms:
Er (0.0000, 0.0000, 0.0000)
Sc (0.7500, 0.7500, 0.7500)
Re (0.3752, 0.3752, 0.3752)
Re (0.3752, 0.3752, 0.8745)
Re (0.3752, 0.8745, 0.3752)
Re (0.8745, 0.3752, 0.3752)

=====

(2)
# Ti2As4W3
Theoretical X-ray diffraction stick pattern, Cu Kα, 1.54184 Å. Input: a PBE-relaxed structure.
No peak broadening, texture or thermal motion is included.

The 8 most intense peaks (15 to 90 degrees two-theta), sorted by position:
Position (°2θ)  intensity
20.55  38
33.80  44
38.74  100
39.57  29
41.81  48
47.30  37
71.10  20
77.30  20

a b c (Å): 9.6628 9.6628 3.3583
angles (deg): 90.00 90.00 90.00
Fractional coordinates of all 18 atoms:
Ti (0.1244, 0.6900, 0.0000)
Ti (0.3100, 0.1244, 0.5000)
Ti (0.6900, 0.8756, 0.5000)
Ti (0.8756, 0.3100, 0.0000)
As (0.0580, 0.2150, 0.5000)
As (0.2150, 0.9420, 0.0000)
As (0.2844, 0.5546, 0.5000)
As (0.4454, 0.2844, 0.0000)
As (0.5546, 0.7156, 0.0000)
As (0.7156, 0.4454, 0.5000)
As (0.7850, 0.0580, 0.0000)
As (0.9420, 0.7850, 0.5000)
W (0.0000, 0.5000, 0.5000)
W (0.1966, 0.3734, 0.0000)
W (0.3734, 0.8034, 0.5000)
W (0.5000, 0.0000, 0.0000)
W (0.6266, 0.1966, 0.5000)
W (0.8034, 0.6266, 0.0000)

=====

(3)
# K3DyPu2Se6
Theoretical X-ray diffraction stick pattern, Cu Kα, 1.54184 Å. Input: a PBE-relaxed structure.
No peak broadening, texture or thermal motion is included.

The 8 most intense peaks (15 to 90 degrees two-theta), sorted by position:
Position (°2θ)  intensity
24.44  21
28.76  100
36.66  24
39.79  35
42.44  37
44.13  18
52.07  19
69.35  16

a b c (Å): 7.3788 7.3788 8.0404
angles (deg): 98.80 98.80 120.00
Fractional coordinates of all 12 atoms:
K (0.0000, 0.0000, 0.0000)
K (0.3331, 0.6669, 0.0000)
K (0.6669, 0.3331, 0.0000)
Dy (0.5000, 0.5000, 0.5000)
Pu (0.1667, 0.8333, 0.5000)
Pu (0.8333, 0.1667, 0.5000)
Se (0.1006, 0.4316, 0.2948)
Se (0.2374, 0.2374, 0.7052)
Se (0.4316, 0.1006, 0.2948)
Se (0.5684, 0.8994, 0.7052)
Se (0.7626, 0.7626, 0.2948)
Se (0.8994, 0.5684, 0.7052)

=====

(4)
# Ce5Nd3Te8
Theoretical X-ray diffraction stick pattern, Cu Kα, 1.54184 Å. Input: a PBE-relaxed structure.
No peak broadening, texture or thermal motion is included.

The 8 most intense peaks (15 to 90 degrees two-theta), sorted by position:
Position (°2θ)  intensity
28.09  100
39.94  39
40.35  38
49.89  20
58.07  13
65.43  18
66.02  17
73.08  13

a b c (Å): 9.0307 9.0307 9.0307
angles (deg): 59.34 59.34 59.34
Fractional coordinates of all 16 atoms:
Ce (0.0000, 0.0000, 0.0000)
Ce (0.0000, 0.5000, 0.5000)
Ce (0.5000, 0.0000, 0.5000)
Ce (0.5000, 0.5000, 0.0000)
Ce (0.5000, 0.5000, 0.5000)
Nd (0.0000, 0.0000, 0.5000)
Nd (0.0000, 0.5000, 0.0000)
Nd (0.5000, 0.0000, 0.0000)
Te (0.2502, 0.2502, 0.2502)
Te (0.2501, 0.2501, 0.7497)
Te (0.2501, 0.7497, 0.2501)
Te (0.2503, 0.7499, 0.7499)
Te (0.7497, 0.2501, 0.2501)
Te (0.7499, 0.2503, 0.7499)
Te (0.7499, 0.7499, 0.2503)
Te (0.7498, 0.7498, 0.7498)

=====

(5)
# CeEr2Tc
Theoretical X-ray diffraction stick pattern, Cu Kα, 1.54184 Å. Input: a PBE-relaxed structure.
No peak broadening, texture or thermal motion is included.

The 8 most intense peaks (15 to 90 degrees two-theta), sorted by position:
Position (°2θ)  intensity
30.37  22
31.04  54
32.25  100
32.71  54
34.09  65
37.80  47
47.58  25
58.64  48

a b c (Å): 3.8226 11.7709 9.4452
angles (deg): 90.00 90.00 90.00
Fractional coordinates of all 16 atoms:
Ce (0.0000, 0.0831, 0.2500)
Ce (0.0000, 0.9169, 0.7500)
Ce (0.5000, 0.4169, 0.7500)
Ce (0.5000, 0.5831, 0.2500)
Er (0.0000, 0.3566, 0.0715)
Er (0.0000, 0.3566, 0.4285)
Er (0.0000, 0.6434, 0.5715)
Er (0.0000, 0.6434, 0.9285)
Er (0.5000, 0.1434, 0.5715)
Er (0.5000, 0.1434, 0.9285)
Er (0.5000, 0.8566, 0.0715)
Er (0.5000, 0.8566, 0.4285)
Tc (0.0000, 0.2773, 0.7500)
Tc (0.0000, 0.7227, 0.2500)
Tc (0.5000, 0.2227, 0.2500)
Tc (0.5000, 0.7773, 0.7500)

=====

(6)
# Ho3InHg4
Theoretical X-ray diffraction stick pattern, Cu Kα, 1.54184 Å. Input: a PBE-relaxed structure.
No peak broadening, texture or thermal motion is included.

The 8 most intense peaks (15 to 90 degrees two-theta), sorted by position:
Position (°2θ)  intensity
34.07  99
34.95  100
49.61  35
60.41  16
62.12  36
62.68  19
82.36  13
83.86  16

a b c (Å): 9.1963 9.1963 9.1963
angles (deg): 32.42 32.42 32.42
Fractional coordinates of all 8 atoms:
Ho (0.0000, 0.0000, 0.0000)
Ho (0.2431, 0.2431, 0.2431)
Ho (0.7569, 0.7569, 0.7569)
In (0.5000, 0.5000, 0.5000)
Hg (0.1207, 0.1207, 0.1207)
Hg (0.3683, 0.3683, 0.3683)
Hg (0.6317, 0.6317, 0.6317)
Hg (0.8793, 0.8793, 0.8793)